Record 1
Computed powder diffractogram
Compound: LaPmY2
Radiation: copper Kα
Structure: a crystal structure in Alexandria, relaxed with GGA-PBE
Peak positions follow from Bragg's law for the DFT cell and can differ from measured ones.

Structural model:
```
data_LaPmY2
_chemical_formula_sum 'La3 Pm3 Y6'
_cell_length_a 3.6533
_cell_length_b 3.6533
_cell_length_c 35.2318
_cell_angle_alpha 90.00
_cell_angle_beta 90.00
_cell_angle_gamma 120.00
_symmetry_space_group_name_H-M 'R 3 m'
_symmetry_Int_Tables_number 160
_symmetry_space_group_name_Hall 'R 3 -2"'
loop_
_atom_site_label
_atom_site_type_symbol
_atom_site_fract_x
_atom_site_fract_y
_atom_site_fract_z
_atom_site_occupancy
La1 La 0.0000 0.0000 0.0000 1
Pm1 Pm 0.0000 0.0000 0.1661 1
Y1 Y 0.0000 0.0000 0.4172 1
Y2 Y 0.0000 0.0000 0.5828 1
```

Main lines, in order of rising 2θ (2θ = 15–90°):
2θ = 28.32°, I 16, (1 0 1); 2θ = 28.67°, I 34, (0 1 2); 2θ = 30.45°, I 51, (0 0 12); 2θ = 30.98°, I 100, (0 1 5); 2θ = 33.45°, I 85, (1 0 7); 2θ = 49.93°, I 38, (1 1 0); 2θ = 52.81°, I 21, (0 1 17); 2θ = 57.62°, I 18, (1 0 19); 2θ = 59.61°, I 44, (1 1 12); 2θ = 59.93°, I 15, (2 0 5); 2θ = 61.44°, I 14, (0 2 7); 2θ = 84.71°, I 16, (1 1 24)

=====

Record 2
Computed powder diffractogram
Compound: CeNiSnH2
Radiation: copper Kα
Structure: a crystal structure in Alexandria, relaxed with GGA-PBE
Peak positions follow from Bragg's law for the DFT cell and can differ from measured ones.

Structural model:
```
data_CeNiSnH2
_chemical_formula_sum 'Ce2 Ni2 Sn2 H4'
_cell_length_a 4.3692
_cell_length_b 4.3692
_cell_length_c 8.3925
_cell_angle_alpha 90.00
_cell_angle_beta 90.00
_cell_angle_gamma 120.00
_symmetry_space_group_name_H-M 'P 63/m m c'
_symmetry_Int_Tables_number 194
_symmetry_space_group_name_Hall '-P 6c 2c'
loop_
_atom_site_label
_atom_site_type_symbol
_atom_site_fract_x
_atom_site_fract_y
_atom_site_fract_z
_atom_site_occupancy
Ce1 Ce 0.0000 0.0000 0.0000 1
Ni1 Ni 0.3333 0.6667 0.2500 1
Sn1 Sn 0.3333 0.6667 0.7500 1
H1 H 0.3333 0.6667 0.0576 1
```

Main lines, in order of rising 2θ (2θ = 15–90°):
2θ = 23.51°, I 4, (1 0 0); 2θ = 25.83°, I 7, (1 0 1); 2θ = 31.85°, I 100, (1 0 2); 2θ = 41.33°, I 49, (1 1 0); 2θ = 43.11°, I 14, (0 0 4); 2θ = 53.10°, I 24, (2 0 2); 2θ = 61.25°, I 30, (1 1 4); 2θ = 69.43°, I 21, (2 1 2); 2θ = 71.97°, I 10, (1 0 6); 2θ = 75.35°, I 8, (3 0 0); 2θ = 86.54°, I 6, (2 0 6); 2θ = 89.78°, I 6, (2 2 0)

=====

Record 3
Computed powder diffractogram
Compound: TbGaSiRh3
Radiation: copper Kα
Structure: a crystal structure in Alexandria, relaxed with GGA-PBE
Peak positions follow from Bragg's law for the DFT cell and can differ from measured ones.

Structural model:
```
data_TbGaSiRh3
_chemical_formula_sum 'Tb4 Ga4 Si4 Rh12'
_cell_length_a 5.616
_cell_length_b 14.870
_cell_length_c 5.654
_cell_angle_alpha 90.00
_cell_angle_beta 90.00
_cell_angle_gamma 90.00
_symmetry_space_group_name_H-M 'C m c m'
_symmetry_Int_Tables_number 63
_symmetry_space_group_name_Hall '-C 2c 2'
loop_
_atom_site_label
_atom_site_type_symbol
_atom_site_fract_x
_atom_site_fract_y
_atom_site_fract_z
_atom_site_occupancy
Tb1 Tb 0.000 0.205 0.250 1
Ga1 Ga 0.000 0.102 0.750 1
Si1 Si 0.000 0.421 0.750 1
Rh1 Rh 0.000 0.265 0.750 1
Rh2 Rh 0.246 0.000 0.000 1
```

Main lines, in order of rising 2θ (2θ = 15–90°):
2θ = 23.94°, I 84, (0 4 0); 2θ = 28.74°, I 53, (0 4 1); 2θ = 33.92°, I 100, (0 2 2); 2θ = 34.13°, I 100, (2 2 0); 2θ = 39.71°, I 27, (0 6 1); 2θ = 43.44°, I 23, (2 4 1); 2θ = 45.53°, I 85, (2 0 2); 2θ = 48.57°, I 22, (1 7 1); 2θ = 48.87°, I 27, (0 6 2); 2θ = 49.02°, I 32, (2 6 0); 2θ = 51.79°, I 29, (2 6 1); 2θ = 52.08°, I 32, (2 4 2)

=====

Record 4
Computed powder diffractogram
Compound: ScAuSe2
Radiation: copper Kα
Structure: a crystal structure in Alexandria, relaxed with GGA-PBE
Peak positions follow from Bragg's law for the DFT cell and can differ from measured ones.

Structural model:
```
data_ScAuSe2
_chemical_formula_sum 'Sc1 Au1 Se2'
_cell_length_a 4.340
_cell_length_b 4.340
_cell_length_c 5.960
_cell_angle_alpha 90.00
_cell_angle_beta 90.00
_cell_angle_gamma 90.00
_symmetry_space_group_name_H-M 'P -4 m 2'
_symmetry_Int_Tables_number 115
_symmetry_space_group_name_Hall 'P -4 -2'
loop_
_atom_site_label
_atom_site_type_symbol
_atom_site_fract_x
_atom_site_fract_y
_atom_site_fract_z
_atom_site_occupancy
Sc1 Sc 0.000 0.000 0.000 1
Au1 Au 0.500 0.500 0.000 1
Se1 Se 0.000 0.500 0.257 1
```

Main lines, in order of rising 2θ (2θ = 15–90°):
2θ = 20.46°, I 38, (1 0 0); 2θ = 25.39°, I 100, (1 0 1); 2θ = 32.83°, I 67, (1 1 1); 2θ = 36.58°, I 19, (1 0 2); 2θ = 41.62°, I 45, (2 0 0); 2θ = 42.27°, I 86, (1 1 2); 2θ = 44.43°, I 26, (2 0 1); 2θ = 49.39°, I 34, (2 1 1); 2θ = 50.53°, I 16, (1 0 3); 2θ = 60.32°, I 15, (2 2 0); 2θ = 70.40°, I 15, (3 1 1); 2θ = 76.41°, I 30, (3 1 2)

=====

Record 5
Computed powder diffractogram
Compound: Co5Re4
Radiation: copper Kα
Structure: a crystal structure in Alexandria, relaxed with GGA-PBE
Peak positions follow from Bragg's law for the DFT cell and can differ from measured ones.

Structural model:
```
data_Co5Re4
_chemical_formula_sum 'Co10 Re8'
_cell_length_a 7.820
_cell_length_b 7.820
_cell_length_c 3.667
_cell_angle_alpha 90.00
_cell_angle_beta 90.00
_cell_angle_gamma 90.00
_symmetry_space_group_name_H-M 'I 4/m m m'
_symmetry_Int_Tables_number 139
_symmetry_space_group_name_Hall '-I 4 2'
loop_
_atom_site_label
_atom_site_type_symbol
_atom_site_fract_x
_atom_site_fract_y
_atom_site_fract_z
_atom_site_occupancy
Co1 Co 0.000 0.000 0.000 1
Co2 Co 0.168 0.168 0.500 1
Re1 Re 0.000 0.322 0.000 1
```

Main lines, in order of rising 2θ (2θ = 15–90°):
2θ = 16.03°, I 20, (1 1 0); 2θ = 26.85°, I 7, (1 0 1); 2θ = 32.38°, I 10, (2 2 0); 2θ = 35.47°, I 21, (2 1 1); 2θ = 42.55°, I 100, (3 0 1); 2θ = 49.45°, I 32, (3 3 0); 2θ = 49.73°, I 16, (0 0 2); 2θ = 69.64°, I 7, (5 2 1); 2θ = 72.53°, I 10, (6 0 0); 2θ = 72.75°, I 20, (3 3 2); 2θ = 87.89°, I 23, (6 3 1); 2θ = 88.31°, I 14, (3 0 3)

=====

Record 6
Computed powder diffractogram
Compound: La2DyTe5Au
Radiation: copper Kα
Structure: a crystal structure in Alexandria, relaxed with GGA-PBE
Peak positions follow from Bragg's law for the DFT cell and can differ from measured ones.

Structural model:
```
data_La2DyTe5Au
_chemical_formula_sum 'La8 Dy4 Te20 Au4'
_cell_length_a 4.412
_cell_length_b 19.221
_cell_length_c 13.280
_cell_angle_alpha 90.00
_cell_angle_beta 90.00
_cell_angle_gamma 90.00
_symmetry_space_group_name_H-M 'C m c 21'
_symmetry_Int_Tables_number 36
_symmetry_space_group_name_Hall 'C 2c -2'
loop_
_atom_site_label
_atom_site_type_symbol
_atom_site_fract_x
_atom_site_fract_y
_atom_site_fract_z
_atom_site_occupancy
La1 La 0.000 0.114 0.000 1
La2 La 0.000 0.123 0.621 1
Dy1 Dy 0.000 0.189 0.321 1
Te1 Te 0.000 0.040 0.383 1
Te2 Te 0.000 0.290 0.982 1
Te3 Te 0.000 0.304 0.653 1
Te4 Te 0.000 0.353 0.313 1
Te5 Te 0.000 0.500 0.088 1
Au1 Au 0.000 0.427 0.769 1
```

Main lines, in order of rising 2θ (2θ = 15–90°):
2θ = 22.11°, I 14, (0 2 3); 2θ = 24.67°, I 27, (1 1 2); 2θ = 27.39°, I 17, (0 4 3); 2θ = 28.67°, I 50, (0 6 1); 2θ = 28.95°, I 100, (1 1 3); 2θ = 33.74°, I 86, (1 5 2); 2θ = 37.07°, I 25, (1 5 3); 2θ = 39.24°, I 14, (1 7 1); 2θ = 39.90°, I 17, (0 8 2); 2θ = 40.91°, I 41, (2 0 0); 2θ = 41.88°, I 15, (0 2 6); 2θ = 50.71°, I 21, (2 6 1)

=====

Record 7
Computed powder diffractogram
Compound: SrSbF5
Radiation: copper Kα
Structure: a crystal structure in Alexandria, relaxed with GGA-PBE
Peak positions follow from Bragg's law for the DFT cell and can differ from measured ones.

Structural model:
```
data_SrSbF5
_chemical_formula_sum 'Sr4 Sb4 F20'
_cell_length_a 6.229
_cell_length_b 11.485
_cell_length_c 8.685
_cell_angle_alpha 90.00
_cell_angle_beta 108.78
_cell_angle_gamma 90.00
_symmetry_space_group_name_H-M 'P 1 21/c 1'
_symmetry_Int_Tables_number 14
_symmetry_space_group_name_Hall '-P 2ybc'
loop_
_atom_site_label
_atom_site_type_symbol
_atom_site_fract_x
_atom_site_fract_y
_atom_site_fract_z
_atom_site_occupancy
Sr1 Sr 0.075 0.248 0.388 1
Sb1 Sb 0.496 0.003 0.264 1
F1 F 0.162 0.184 0.157 1
F2 F 0.193 0.589 0.144 1
F3 F 0.262 0.635 0.712 1
F4 F 0.346 0.091 0.864 1
F5 F 0.369 0.092 0.531 1
```

Main lines, in order of rising 2θ (2θ = 15–90°):
2θ = 21.60°, I 100, (1 2 0); 2θ = 22.98°, I 14, (0 1 2); 2θ = 23.36°, I 13, (1 1 -2); 2θ = 26.67°, I 17, (0 2 2); 2θ = 27.00°, I 19, (1 2 -2); 2θ = 30.27°, I 12, (1 0 2); 2θ = 31.14°, I 13, (0 4 0); 2θ = 38.51°, I 13, (2 3 0); 2θ = 43.96°, I 11, (1 4 2); 2θ = 44.02°, I 12, (2 4 0); 2θ = 44.61°, I 13, (2 4 -2); 2θ = 46.93°, I 12, (0 2 4)

=====

Record 8
Computed powder diffractogram
Compound: MgPtW4
Radiation: copper Kα
Structure: a crystal structure in Alexandria, relaxed with GGA-PBE
Peak positions follow from Bragg's law for the DFT cell and can differ from measured ones.

Structural model:
```
data_MgPtW4
_chemical_formula_sum 'Mg4 Pt4 W16'
_cell_length_a 7.481
_cell_length_b 7.481
_cell_length_c 7.481
_cell_angle_alpha 90.00
_cell_angle_beta 90.00
_cell_angle_gamma 90.00
_symmetry_space_group_name_H-M 'F -4 3 m'
_symmetry_Int_Tables_number 216
_symmetry_space_group_name_Hall 'F -4 2 3'
loop_
_atom_site_label
_atom_site_type_symbol
_atom_site_fract_x
_atom_site_fract_y
_atom_site_fract_z
_atom_site_occupancy
Mg1 Mg 0.000 0.000 0.000 1
Pt1 Pt 0.250 0.250 0.250 1
W1 W 0.127 0.127 0.627 1
```

Main lines, in order of rising 2θ (2θ = 15–90°):
2θ = 20.56°, I 35, (1 1 1); 2θ = 23.79°, I 11, (2 0 0); 2θ = 33.89°, I 13, (2 2 0); 2θ = 39.97°, I 100, (3 1 1); 2θ = 41.83°, I 58, (2 2 2); 2θ = 48.69°, I 13, (4 0 0); 2θ = 53.39°, I 10, (3 3 1); 2θ = 64.75°, I 33, (5 1 1); 2θ = 71.32°, I 29, (4 4 0); 2θ = 75.13°, I 6, (5 3 1); 2θ = 85.03°, I 12, (5 3 3); 2θ = 86.25°, I 23, (6 2 2)

=====

Record 9
Computed powder diffractogram
Compound: TcBrF4
Radiation: copper Kα
Structure: a crystal structure in Alexandria, relaxed with GGA-PBE
Peak positions follow from Bragg's law for the DFT cell and can differ from measured ones.

Structural model:
```
data_TcBrF4
_chemical_formula_sum 'Tc2 Br2 F8'
_cell_length_a 6.052
_cell_length_b 6.171
_cell_length_c 7.312
_cell_angle_alpha 90.00
_cell_angle_beta 102.95
_cell_angle_gamma 90.00
_symmetry_space_group_name_H-M 'P 1 21/m 1'
_symmetry_Int_Tables_number 11
_symmetry_space_group_name_Hall '-P 2yb'
loop_
_atom_site_label
_atom_site_type_symbol
_atom_site_fract_x
_atom_site_fract_y
_atom_site_fract_z
_atom_site_occupancy
Tc1 Tc 0.167 0.250 0.301 1
Br1 Br 0.215 0.750 0.842 1
F1 F 0.116 0.250 0.551 1
F2 F 0.258 0.250 0.063 1
F3 F 0.301 0.519 0.344 1
```

Main lines, in order of rising 2θ (2θ = 15–90°):
2θ = 15.02°, I 16, (1 0 0); 2θ = 19.02°, I 100, (0 1 1); 2θ = 22.50°, I 38, (1 1 -1); 2θ = 24.99°, I 9, (0 0 2); 2θ = 26.16°, I 25, (1 0 -2); 2θ = 28.94°, I 26, (0 2 0); 2θ = 30.31°, I 18, (2 0 0); 2θ = 32.76°, I 9, (1 2 0); 2θ = 38.43°, I 21, (2 1 1); 2θ = 40.36°, I 18, (1 1 -3); 2θ = 45.92°, I 12, (0 3 1); 2θ = 47.51°, I 11, (3 0 -2)

=====

Record 10
Computed powder diffractogram
Compound: Ho4ScPb5
Radiation: copper Kα
Structure: a crystal structure in Alexandria, relaxed with GGA-PBE
Peak positions follow from Bragg's law for the DFT cell and can differ from measured ones.

Structural model:
```
data_Ho4ScPb5
_chemical_formula_sum 'Ho8 Sc2 Pb10'
_cell_length_a 9.824
_cell_length_b 9.824
_cell_length_c 6.227
_cell_angle_alpha 90.00
_cell_angle_beta 90.00
_cell_angle_gamma 90.00
_symmetry_space_group_name_H-M 'I 4'
_symmetry_Int_Tables_number 79
_symmetry_space_group_name_Hall 'I 4'
loop_
_atom_site_label
_atom_site_type_symbol
_atom_site_fract_x
_atom_site_fract_y
_atom_site_fract_z
_atom_site_occupancy
Ho1 Ho 0.094 0.696 0.000 1
Sc1 Sc 0.000 0.000 0.512 1
Pb1 Pb 0.000 0.000 0.013 1
Pb2 Pb 0.101 0.711 0.500 1
```

Main lines, in order of rising 2θ (2θ = 15–90°):
2θ = 24.80°, I 8, (1 2 1); 2θ = 28.71°, I 100, (0 0 2); 2θ = 41.06°, I 77, (3 1 2); 2θ = 48.56°, I 4, (1 2 3); 2θ = 50.87°, I 27, (2 4 2); 2θ = 59.37°, I 4, (0 0 4); 2θ = 59.51°, I 8, (6 2 0); 2θ = 67.27°, I 12, (3 1 4); 2θ = 67.39°, I 23, (6 2 2); 2θ = 74.80°, I 26, (2 4 4); 2θ = 89.03°, I 6, (6 2 4); 2θ = 89.16°, I 3, (4 8 0)

=====

Record 11
Computed powder diffractogram
Compound: Ac2Y5Tm2
Radiation: copper Kα
Structure: a crystal structure in Alexandria, relaxed with GGA-PBE
Peak positions follow from Bragg's law for the DFT cell and can differ from measured ones.

Structural model:
```
data_Ac2Y5Tm2
_chemical_formula_sum 'Ac2 Y5 Tm2'
_cell_length_a 3.727
_cell_length_b 7.480
_cell_length_c 12.022
_cell_angle_alpha 94.23
_cell_angle_beta 98.91
_cell_angle_gamma 104.42
_symmetry_space_group_name_H-M 'P -1'
_symmetry_Int_Tables_number 2
_symmetry_space_group_name_Hall '-P 1'
loop_
_atom_site_label
_atom_site_type_symbol
_atom_site_fract_x
_atom_site_fract_y
_atom_site_fract_z
_atom_site_occupancy
Ac1 Ac 0.241 0.339 0.145 1
Y1 Y 0.019 0.717 0.321 1
Y2 Y 0.499 0.886 0.112 1
Y3 Y 0.500 0.500 0.500 1
Tm1 Tm 0.249 0.890 0.607 1
```

Main lines, in order of rising 2θ (2θ = 15–90°):
2θ = 15.16°, I 18, (0 1 1); 2θ = 24.49°, I 22, (0 1 -3); 2θ = 26.88°, I 25, (1 0 -2); 2θ = 27.49°, I 29, (0 2 -2); 2θ = 30.33°, I 100, (1 -2 0); 2θ = 30.59°, I 53, (0 2 2); 2θ = 31.41°, I 18, (0 1 -4); 2θ = 31.67°, I 82, (1 0 2); 2θ = 48.87°, I 15, (-2 1 1); 2θ = 53.37°, I 15, (-1 4 2); 2θ = 55.88°, I 17, (0 2 6); 2θ = 58.76°, I 17, (2 1 1)

=====

Record 12
Computed powder diffractogram
Compound: SmDyGaIr
Radiation: copper Kα
Structure: a crystal structure in Alexandria, relaxed with GGA-PBE
Peak positions follow from Bragg's law for the DFT cell and can differ from measured ones.

Structural model:
```
data_SmDyGaIr
_chemical_formula_sum 'Sm2 Dy2 Ga2 Ir2'
_cell_length_a 4.264
_cell_length_b 4.056
_cell_length_c 10.789
_cell_angle_alpha 90.00
_cell_angle_beta 90.00
_cell_angle_gamma 90.00
_symmetry_space_group_name_H-M 'A m m 2'
_symmetry_Int_Tables_number 38
_symmetry_space_group_name_Hall 'A 2 -2'
loop_
_atom_site_label
_atom_site_type_symbol
_atom_site_fract_x
_atom_site_fract_y
_atom_site_fract_z
_atom_site_occupancy
Sm1 Sm 0.000 0.000 0.000 1
Dy1 Dy 0.500 0.000 0.282 1
Ga1 Ga 0.500 0.000 0.577 1
Ir1 Ir 0.000 0.000 0.719 1
```

Main lines, in order of rising 2θ (2θ = 15–90°):
2θ = 16.43°, I 18, (0 0 2); 2θ = 31.56°, I 100, (1 1 1); 2θ = 33.27°, I 58, (0 0 4); 2θ = 39.58°, I 90, (1 1 3); 2θ = 42.40°, I 26, (2 0 0); 2θ = 44.69°, I 23, (0 2 0); 2θ = 54.93°, I 28, (2 0 4); 2θ = 61.17°, I 15, (1 2 4); 2θ = 63.30°, I 16, (2 2 0); 2θ = 64.70°, I 15, (0 1 7); 2θ = 75.67°, I 14, (3 1 3); 2θ = 80.46°, I 16, (2 1 7)

=====

Which formula does entry 4 have? ScAuSe2